Cu2OF2: simulated powder X-ray diffraction pattern (Cu Ka), based on a cell relaxed with PBE.
Kinematic intensities with the Lorentz-polarization factor, no thermal factor.

Crystal structure
```
Cu2OF2
1.0
0.0000 4.6294 5.0784
3.3640 0.0000 5.0784
3.3640 4.6294 0.0000
Cu O F
4 2 4
direct
0.0000 0.0000 0.0000
0.0000 0.0000 0.5000
0.0000 0.5000 0.0000
0.5000 0.0000 0.0000
0.1250 0.1250 0.1250
0.8750 0.8750 0.8750
0.1317 0.1317 0.6183
0.3817 0.3817 0.8683
0.6183 0.6183 0.1317
0.8683 0.8683 0.3817
```

Main lines, sorted by position (10° ≤ 2θ ≤ 80°):
2θ (°)	Rel. int.
18.49	100
31.11	12
33.13	12
37.49	49
41.82	13
49.75	7
53.57	15
64.87	9
66.71	10
69.52	8

***

CeSmMg2: simulated powder X-ray diffraction pattern (Cu Ka), based on a cell relaxed with PBE.
Kinematic intensities with the Lorentz-polarization factor, no thermal factor.

Crystal structure
```
CeSmMg2
1.0
0.0000 3.8341 3.8341
3.8341 0.0000 3.8341
3.8341 3.8341 0.0000
Ce Sm Mg
1 1 2
direct
0.0000 0.0000 0.0000
0.5000 0.5000 0.5000
0.2500 0.2500 0.2500
0.7500 0.7500 0.7500
```

Main lines, sorted by position (10° ≤ 2θ ≤ 80°):
2θ (°)	Rel. int.
23.20	59
33.04	100
40.76	18
47.42	18
53.44	25
59.01	37
69.32	11
74.20	12
78.97	16

***

TiSiPt: simulated powder X-ray diffraction pattern (Cu Ka), based on a cell relaxed with PBE.
Kinematic intensities with the Lorentz-polarization factor, no thermal factor.

Crystal structure
```
TiSiPt
1.0
6.3712 0.0000 0.0000
0.0000 3.8231 0.0000
0.0000 0.0000 7.3979
Ti Si Pt
4 4 4
direct
0.0269 0.2500 0.1745
0.4731 0.7500 0.6745
0.5269 0.2500 0.3255
0.9731 0.7500 0.8255
0.2425 0.7500 0.3757
0.2575 0.2500 0.8757
0.7425 0.7500 0.1243
0.7575 0.2500 0.6243
0.1488 0.2500 0.5646
0.3512 0.7500 0.0646
0.6488 0.2500 0.9354
0.8512 0.7500 0.4354
```

Main lines, sorted by position (10° ≤ 2θ ≤ 80°):
2θ (°)	Rel. int.
18.38	56
24.06	23
27.89	24
29.81	69
36.68	100
43.68	39
44.38	54
46.58	22
47.57	25
51.43	20

***

TmCo5P3: simulated powder X-ray diffraction pattern (Cu Ka), based on a cell relaxed with PBE.
Kinematic intensities with the Lorentz-polarization factor, no thermal factor.

Crystal structure
```
TmCo5P3
1.0
11.6901 0.0000 0.0000
0.0000 3.6293 0.0000
0.0000 0.0000 10.2603
Tm Co P
4 20 12
direct
0.2030 0.2500 0.0829
0.2970 0.7500 0.5829
0.7030 0.2500 0.4171
0.7970 0.7500 0.9171
0.0096 0.7500 0.7167
0.0130 0.7500 0.0930
0.0687 0.7500 0.4674
0.1765 0.2500 0.7791
0.1985 0.2500 0.3828
0.3015 0.7500 0.8828
0.3235 0.7500 0.2791
0.4313 0.2500 0.9674
0.4870 0.2500 0.5930
0.4904 0.2500 0.2167
0.5096 0.7500 0.7833
0.5130 0.7500 0.4070
0.5687 0.7500 0.0326
0.6765 0.2500 0.7209
0.6985 0.2500 0.1172
0.8015 0.7500 0.6172
0.8235 0.7500 0.2209
0.9313 0.2500 0.5326
0.9870 0.2500 0.9070
0.9904 0.2500 0.2833
0.1096 0.7500 0.8992
0.1125 0.2500 0.5818
0.1300 0.7500 0.2693
0.3700 0.2500 0.7693
0.3875 0.7500 0.0818
0.3904 0.2500 0.3992
0.6096 0.7500 0.6008
0.6125 0.2500 0.9182
0.6300 0.7500 0.2307
0.8700 0.2500 0.7307
0.8875 0.7500 0.4182
0.8904 0.2500 0.1008
```

Main lines, sorted by position (10° ≤ 2θ ≤ 80°):
2θ (°)	Rel. int.
27.16	21
30.28	16
35.84	15
38.16	19
39.34	100
39.58	69
40.60	26
50.28	34
54.18	23
77.04	15

***

Er2TeO6: simulated powder X-ray diffraction pattern (Cu Ka), based on a cell relaxed with PBE.
Kinematic intensities with the Lorentz-polarization factor, no thermal factor.

Crystal structure
```
Er2TeO6
1.0
4.9699 0.0000 0.0000
0.0000 4.9699 0.0000
0.0000 0.0000 10.0196
Er Te O
4 2 12
direct
0.0000 0.0000 0.1654
0.0000 0.0000 0.8346
0.5000 0.5000 0.3346
0.5000 0.5000 0.6654
0.0000 0.0000 0.5000
0.5000 0.5000 0.0000
0.1840 0.1840 0.3528
0.1840 0.1840 0.6472
0.2205 0.2205 0.0000
0.2795 0.7205 0.5000
0.3160 0.6839 0.1472
0.3160 0.6839 0.8528
0.6839 0.3160 0.1472
0.6839 0.3160 0.8528
0.7205 0.2795 0.5000
0.7795 0.7795 0.0000
0.8161 0.8161 0.3528
0.8161 0.8161 0.6472
```

Main lines, sorted by position (10° ≤ 2θ ≤ 80°):
2θ (°)	Rel. int.
25.34	100
32.29	88
36.15	26
49.25	68
52.05	16
58.75	17
61.48	17
62.59	19
67.59	10
74.46	15